# 1
# Dy2ErNi2
Theoretical X-ray diffraction stick pattern, Cu Ka. Input: DFT lattice parameters and positions (PBE).
Lines closer than 0.1° are merged.

Atomic structure:
a = 11.4126 Å, b = 5.7040 Å, c = 7.0859 Å
α = 90.00°, β = 100.67°, γ = 90.00°
Space group C2/c (No. 15)
Inequivalent atoms, fractional coordinates:
Dy  0.1602  0.1097  0.1545 x8
Er  0.0000  0.4090  0.7500 x4
Ni  0.1628  0.3681  0.5121 x8

The 10 most intense peaks (15° ≤ 2θ ≤ 90°), by intensity:
2θ (°)	I_rel
34.0	100.0
28.5	77.8
32.7	67.1
35.5	59.0
29.4	54.0
29.9	41.4
41.4	40.5
38.7	38.3
37.3	37.9
48.7	37.6

***

# 2
# Dy3ErO
Theoretical X-ray diffraction stick pattern, Cu Ka. Input: DFT lattice parameters and positions (PBE).
Lines closer than 0.1° are merged.

Atomic structure:
a = 4.9226 Å, b = 4.9226 Å, c = 4.9226 Å
α = 90.00°, β = 90.00°, γ = 90.00°
Space group Pm-3m (No. 221)
Inequivalent atoms, fractional coordinates:
Dy  0.0000  0.0000  0.5000 x3
Er  0.5000  0.5000  0.5000 x1
O  0.0000  0.0000  0.0000 x1

The 8 most intense peaks (15° ≤ 2θ ≤ 90°), by intensity:
2θ (°)	I_rel
31.5	100.0
36.5	56.1
62.6	42.9
52.6	39.4
88.9	18.4
86.1	18.3
65.7	13.4
77.6	6.2

***

# 3
# DyEr2TeO8
Theoretical X-ray diffraction stick pattern, Cu Ka. Input: DFT lattice parameters and positions (PBE).
Lines closer than 0.1° are merged.

Atomic structure:
a = 7.0168 Å, b = 7.1197 Å, c = 6.8403 Å
α = 90.00°, β = 90.00°, γ = 90.00°
Space group Cmmm (No. 65)
Inequivalent atoms, fractional coordinates:
Dy  0.0000  0.0000  0.0000 x2
Er  0.0000  0.5000  0.2526 x4
Te  0.0000  0.0000  0.5000 x2
O  0.0000  0.1839  0.2873 x8
O  0.1888  0.5000  0.0000 x4
O  0.2223  0.5000  0.5000 x4

The 10 most intense peaks (15° ≤ 2θ ≤ 90°), by intensity:
2θ (°)	I_rel
31.7	100.0
25.0	57.2
25.4	53.2
48.5	39.7
48.9	37.1
35.9	29.1
62.0	21.8
66.2	11.3
60.0	10.4
58.7	9.6